Entry 1:
Starting from a GGA-PBE-relaxed structure, the powder X-ray diffraction pattern of InI2O2 was calculated for CuKα.

Principal peaks in the range 10° ≤ 2θ ≤ 80°, sorted by position:
2θ (°)  d (Å)  I_rel
27.50  3.244  87
29.39  3.039  100
32.54  2.752  39
40.68  2.218  83
42.05  2.149  54
50.98  1.791  60

Cell and atoms:
```
data_InI2O2
_chemical_formula_sum 'In1 I2 O2'
_space_group_name_H-M_alt 'P 1'
_space_group_IT_number 1
_space_group_name_Hall 'P 1'
_cell_length_a 4.2977
_cell_length_b 4.2977
_cell_length_c 6.4872
_cell_angle_alpha 90.00
_cell_angle_beta 90.00
_cell_angle_gamma 90.00
loop_
_atom_site_label
_atom_site_type_symbol
_atom_site_fract_x
_atom_site_fract_y
_atom_site_fract_z
In1 In 0.0000 0.0000 0.0000
I1 I 0.0000 0.0000 0.5000
I2 I 0.5000 0.5000 0.5000
O1 O 0.0000 0.5000 0.0000
O2 O 0.5000 0.0000 0.0000
```

Entry 2:
Starting from a GGA-PBE-relaxed structure, the powder X-ray diffraction pattern of Dy12TlRu6 was calculated for CuKα.

Principal peaks in the range 10° ≤ 2θ ≤ 80°, sorted by position:
2θ (°)  d (Å)  I_rel
31.50  2.840  47
34.10  2.629  100
36.54  2.459  23
47.10  1.929  25
54.38  1.687  24
57.77  1.596  33

Cell and atoms:
```
data_Dy12TlRu6
_chemical_formula_sum 'Dy12 Tl1 Ru6'
_space_group_name_H-M_alt 'P 1'
_space_group_IT_number 1
_space_group_name_Hall 'P 1'
_cell_length_a 8.5196
_cell_length_b 8.5196
_cell_length_c 8.5196
_cell_angle_alpha 109.47
_cell_angle_beta 109.47
_cell_angle_gamma 109.47
loop_
_atom_site_label
_atom_site_type_symbol
_atom_site_fract_x
_atom_site_fract_y
_atom_site_fract_z
Dy1 Dy 0.1015 0.2964 0.8051
Dy2 Dy 0.1949 0.4914 0.2964
Dy3 Dy 0.1949 0.8985 0.7036
Dy4 Dy 0.2964 0.1949 0.4914
Dy5 Dy 0.2964 0.8051 0.1015
Dy6 Dy 0.4914 0.2964 0.1949
Dy7 Dy 0.5086 0.7036 0.8051
Dy8 Dy 0.7036 0.1949 0.8985
Dy9 Dy 0.7036 0.8051 0.5086
Dy10 Dy 0.8051 0.1015 0.2964
Dy11 Dy 0.8051 0.5086 0.7036
Dy12 Dy 0.8985 0.7036 0.1949
Tl1 Tl 0.0000 0.0000 0.0000
Ru1 Ru 0.1242 0.5000 0.6242
Ru2 Ru 0.3758 0.8758 0.5000
Ru3 Ru 0.5000 0.3758 0.8758
Ru4 Ru 0.5000 0.6242 0.1242
Ru5 Ru 0.6242 0.1242 0.5000
Ru6 Ru 0.8758 0.5000 0.3758
```

Entry 3:
Starting from a GGA-PBE-relaxed structure, the powder X-ray diffraction pattern of Tb2Pm2DySc was calculated for CuKα.

Principal peaks in the range 10° ≤ 2θ ≤ 80°, sorted by position:
2θ (°)  d (Å)  I_rel
25.89  3.441  9
31.94  2.802  100
41.59  2.171  15
45.79  1.982  16
56.95  1.617  26
63.46  1.466  16

Cell and atoms:
```
data_Tb2Pm2DySc
_chemical_formula_sum 'Tb4 Pm4 Dy2 Sc2'
_space_group_name_H-M_alt 'P 1'
_space_group_IT_number 1
_space_group_name_Hall 'P 1'
_cell_length_a 6.8823
_cell_length_b 5.5986
_cell_length_c 9.6959
_cell_angle_alpha 90.00
_cell_angle_beta 90.00
_cell_angle_gamma 90.00
loop_
_atom_site_label
_atom_site_type_symbol
_atom_site_fract_x
_atom_site_fract_y
_atom_site_fract_z
Tb1 Tb 0.2500 0.0000 0.1631
Tb2 Tb 0.2500 0.5000 0.6689
Tb3 Tb 0.7500 0.0000 0.8369
Tb4 Tb 0.7500 0.5000 0.3311
Pm1 Pm 0.0000 0.5000 0.0000
Pm2 Pm 0.2500 0.0000 0.8138
Pm3 Pm 0.5000 0.5000 0.0000
Pm4 Pm 0.7500 0.0000 0.1862
Dy1 Dy 0.2500 0.5000 0.3479
Dy2 Dy 0.7500 0.5000 0.6521
Sc1 Sc 0.0000 0.0000 0.5000
Sc2 Sc 0.5000 0.0000 0.5000
```

Entry 4:
Starting from a GGA-PBE-relaxed structure, the powder X-ray diffraction pattern of La2Pb2O7 was calculated for CuKα.

Principal peaks in the range 10° ≤ 2θ ≤ 80°, sorted by position:
2θ (°)  d (Å)  I_rel
27.83  3.206  100
32.24  2.776  36
46.24  1.963  48
54.83  1.674  47
74.48  1.274  19
76.76  1.242  15

Cell and atoms:
```
data_La2Pb2O7
_chemical_formula_sum 'La4 Pb4 O14'
_space_group_name_H-M_alt 'P 1'
_space_group_IT_number 1
_space_group_name_Hall 'P 1'
_cell_length_a 7.8527
_cell_length_b 7.8527
_cell_length_c 7.8527
_cell_angle_alpha 60.00
_cell_angle_beta 60.00
_cell_angle_gamma 60.00
loop_
_atom_site_label
_atom_site_type_symbol
_atom_site_fract_x
_atom_site_fract_y
_atom_site_fract_z
La1 La 0.0000 0.0000 0.0000
La2 La 0.0000 0.0000 0.5000
La3 La 0.0000 0.5000 0.0000
La4 La 0.5000 0.0000 0.0000
Pb1 Pb 0.0000 0.5000 0.5000
Pb2 Pb 0.5000 0.0000 0.5000
Pb3 Pb 0.5000 0.5000 0.0000
Pb4 Pb 0.5000 0.5000 0.5000
O1 O 0.1250 0.1250 0.1250
O2 O 0.1590 0.1590 0.5910
O3 O 0.1590 0.5910 0.1590
O4 O 0.1590 0.5910 0.5910
O5 O 0.4090 0.4090 0.8410
O6 O 0.4090 0.8410 0.4090
O7 O 0.4090 0.8410 0.8410
O8 O 0.5910 0.1590 0.1590
O9 O 0.5910 0.1590 0.5910
O10 O 0.5910 0.5910 0.1590
O11 O 0.8410 0.4090 0.4090
O12 O 0.8410 0.4090 0.8410
O13 O 0.8410 0.8410 0.4090
O14 O 0.8750 0.8750 0.8750
```

Entry 5:
Starting from a GGA-PBE-relaxed structure, the powder X-ray diffraction pattern of SmHo12Sc2 was calculated for CuKα.

Principal peaks in the range 10° ≤ 2θ ≤ 80°, sorted by position:
2θ (°)  d (Å)  I_rel
31.42  2.847  100
32.07  2.791  94
35.27  2.544  64
37.43  2.402  36
52.38  1.747  42
61.69  1.504  31

Cell and atoms:
```
data_SmHo12Sc2
_chemical_formula_sum 'Sm1 Ho12 Sc2'
_space_group_name_H-M_alt 'P 1'
_space_group_IT_number 1
_space_group_name_Hall 'P 1'
_cell_length_a 27.4854
_cell_length_b 27.4854
_cell_length_c 4.8048
_cell_angle_alpha 90.00
_cell_angle_beta 90.00
_cell_angle_gamma 172.61
loop_
_atom_site_label
_atom_site_type_symbol
_atom_site_fract_x
_atom_site_fract_y
_atom_site_fract_z
Sm1 Sm 0.0000 0.0000 0.0000
Ho1 Ho 0.0659 0.9341 0.0000
Ho2 Ho 0.1913 0.8087 0.0000
Ho3 Ho 0.2763 0.7237 0.5000
Ho4 Ho 0.3395 0.6605 0.5000
Ho5 Ho 0.4015 0.5985 0.5000
Ho6 Ho 0.4665 0.5335 0.5000
Ho7 Ho 0.5335 0.4665 0.5000
Ho8 Ho 0.5985 0.4015 0.5000
Ho9 Ho 0.6605 0.3395 0.5000
Ho10 Ho 0.7237 0.2763 0.5000
Ho11 Ho 0.8087 0.1913 0.0000
Ho12 Ho 0.9341 0.0659 0.0000
Sc1 Sc 0.1293 0.8707 0.0000
Sc2 Sc 0.8707 0.1293 0.0000
```

Entry 6:
Starting from a GGA-PBE-relaxed structure, the powder X-ray diffraction pattern of Tb7Pr3Y was calculated for CuKα.

Principal peaks in the range 10° ≤ 2θ ≤ 80°, sorted by position:
2θ (°)  d (Å)  I_rel
31.07  2.878  47
31.30  2.858  40
31.43  2.846  100
31.59  2.832  72
32.06  2.792  80
32.51  2.754  78

Cell and atoms:
```
data_Tb7Pr3Y
_chemical_formula_sum 'Tb7 Pr3 Y1'
_space_group_name_H-M_alt 'P 1'
_space_group_IT_number 1
_space_group_name_Hall 'P 1'
_cell_length_a 7.0341
_cell_length_b 5.5831
_cell_length_c 10.0919
_cell_angle_alpha 90.00
_cell_angle_beta 109.74
_cell_angle_gamma 90.00
loop_
_atom_site_label
_atom_site_type_symbol
_atom_site_fract_x
_atom_site_fract_y
_atom_site_fract_z
Tb1 Tb 0.0000 0.0000 0.0000
Tb2 Tb 0.1464 0.5000 0.2893
Tb3 Tb 0.3223 0.5000 0.6368
Tb4 Tb 0.4210 0.0000 0.8293
Tb5 Tb 0.5790 0.0000 0.1707
Tb6 Tb 0.6777 0.5000 0.3632
Tb7 Tb 0.8536 0.5000 0.7107
Pr1 Pr 0.0000 0.0000 0.5000
Pr2 Pr 0.2810 0.5000 0.9976
Pr3 Pr 0.7190 0.5000 0.0024
Y1 Y 0.5000 0.0000 0.5000
```

Entry 7:
Starting from a GGA-PBE-relaxed structure, the powder X-ray diffraction pattern of Cr2P was calculated for CuKα.

Principal peaks in the range 10° ≤ 2θ ≤ 80°, sorted by position:
2θ (°)  d (Å)  I_rel
36.75  2.445  42
42.65  2.120  30
43.77  2.068  100
44.02  2.057  31
45.11  2.010  72
62.01  1.497  25

Cell and atoms:
```
data_Cr2P
_chemical_formula_sum 'Cr4 P2'
_space_group_name_H-M_alt 'P 1'
_space_group_IT_number 1
_space_group_name_Hall 'P 1'
_cell_length_a 4.4229
_cell_length_b 4.4229
_cell_length_c 5.7767
_cell_angle_alpha 101.44
_cell_angle_beta 101.44
_cell_angle_gamma 39.56
loop_
_atom_site_label
_atom_site_type_symbol
_atom_site_fract_x
_atom_site_fract_y
_atom_site_fract_z
Cr1 Cr 0.0000 0.0000 0.0000
Cr2 Cr 0.0924 0.0924 0.5618
Cr3 Cr 0.3783 0.3783 0.6658
Cr4 Cr 0.7480 0.7480 0.2810
P1 P 0.4533 0.4533 0.2804
P2 P 0.7032 0.7032 0.8698
```

Entry 8:
Starting from a GGA-PBE-relaxed structure, the powder X-ray diffraction pattern of AcPr3Er4 was calculated for CuKα.

Principal peaks in the range 10° ≤ 2θ ≤ 80°, sorted by position:
2θ (°)  d (Å)  I_rel
29.79  2.999  56
30.24  2.955  54
30.69  2.913  100
35.98  2.496  36
36.89  2.437  31
54.00  1.698  31

Cell and atoms:
```
data_AcPr3Er4
_chemical_formula_sum 'Ac1 Pr3 Er4'
_space_group_name_H-M_alt 'P 1'
_space_group_IT_number 1
_space_group_name_Hall 'P 1'
_cell_length_a 9.1018
_cell_length_b 9.1018
_cell_length_c 9.1018
_cell_angle_alpha 157.84
_cell_angle_beta 99.00
_cell_angle_gamma 85.26
loop_
_atom_site_label
_atom_site_type_symbol
_atom_site_fract_x
_atom_site_fract_y
_atom_site_fract_z
Ac1 Ac 0.0000 0.0000 0.0000
Pr1 Pr 0.2437 0.7437 0.5000
Pr2 Pr 0.5000 0.5000 0.0000
Pr3 Pr 0.7563 0.2563 0.5000
Er1 Er 0.1163 0.8633 0.2530
Er2 Er 0.3896 0.1367 0.2530
Er3 Er 0.6104 0.8633 0.7470
Er4 Er 0.8837 0.1367 0.7470
```

Entry 9:
Starting from a GGA-PBE-relaxed structure, the powder X-ray diffraction pattern of TmPd4Pt5 was calculated for CuKα.

Principal peaks in the range 10° ≤ 2θ ≤ 80°, sorted by position:
2θ (°)  d (Å)  I_rel
19.22  4.618  18
34.95  2.567  18
39.01  2.309  44
43.03  2.102  100
43.17  2.096  36
73.42  1.290  21

Cell and atoms:
```
data_TmPd4Pt5
_chemical_formula_sum 'Tm2 Pd8 Pt10'
_space_group_name_H-M_alt 'P 1'
_space_group_IT_number 1
_space_group_name_Hall 'P 1'
_cell_length_a 8.1878
_cell_length_b 9.2367
_cell_length_c 4.7031
_cell_angle_alpha 90.00
_cell_angle_beta 90.00
_cell_angle_gamma 90.00
loop_
_atom_site_label
_atom_site_type_symbol
_atom_site_fract_x
_atom_site_fract_y
_atom_site_fract_z
Tm1 Tm 0.2500 0.2500 0.1108
Tm2 Tm 0.7500 0.7500 0.8892
Pd1 Pd 0.0639 0.7500 0.6117
Pd2 Pd 0.2500 0.0035 0.7427
Pd3 Pd 0.2500 0.4965 0.7427
Pd4 Pd 0.4361 0.7500 0.6117
Pd5 Pd 0.5639 0.2500 0.3883
Pd6 Pd 0.7500 0.5035 0.2573
Pd7 Pd 0.7500 0.9965 0.2573
Pd8 Pd 0.9361 0.2500 0.3883
Pt1 Pt 0.0787 0.5125 0.2477
Pt2 Pt 0.0787 0.9875 0.2477
Pt3 Pt 0.2500 0.7500 0.0924
Pt4 Pt 0.4213 0.5125 0.2477
Pt5 Pt 0.4213 0.9875 0.2477
Pt6 Pt 0.5787 0.0125 0.7523
Pt7 Pt 0.5787 0.4875 0.7523
Pt8 Pt 0.7500 0.2500 0.9076
Pt9 Pt 0.9213 0.0125 0.7523
Pt10 Pt 0.9213 0.4875 0.7523
```

Entry 10:
Starting from a GGA-PBE-relaxed structure, the powder X-ray diffraction pattern of LiCa3Ag was calculated for CuKα.

Principal peaks in the range 10° ≤ 2θ ≤ 80°, sorted by position:
2θ (°)  d (Å)  I_rel
13.09  6.764  100
24.25  3.671  76
29.42  3.036  77
33.50  2.675  92
36.35  2.472  36
36.57  2.457  34

Cell and atoms:
```
data_LiCa3Ag
_chemical_formula_sum 'Li2 Ca6 Ag2'
_space_group_name_H-M_alt 'P 1'
_space_group_IT_number 1
_space_group_name_Hall 'P 1'
_cell_length_a 4.9436
_cell_length_b 9.3541
_cell_length_c 6.7636
_cell_angle_alpha 90.00
_cell_angle_beta 90.00
_cell_angle_gamma 90.00
loop_
_atom_site_label
_atom_site_type_symbol
_atom_site_fract_x
_atom_site_fract_y
_atom_site_fract_z
Li1 Li 0.2500 0.2500 0.0785
Li2 Li 0.7500 0.7500 0.9215
Ca1 Ca 0.2500 0.5470 0.7244
Ca2 Ca 0.2500 0.7500 0.2417
Ca3 Ca 0.2500 0.9530 0.7244
Ca4 Ca 0.7500 0.0470 0.2756
Ca5 Ca 0.7500 0.2500 0.7583
Ca6 Ca 0.7500 0.4530 0.2756
Ag1 Ag 0.2500 0.2500 0.4732
Ag2 Ag 0.7500 0.7500 0.5268
```

Entry 11:
Starting from a GGA-PBE-relaxed structure, the powder X-ray diffraction pattern of NaCaAsS4 was calculated for CuKα.

Principal peaks in the range 10° ≤ 2θ ≤ 80°, sorted by position:
2θ (°)  d (Å)  I_rel
13.55  6.535  36
22.91  3.881  64
26.18  3.404  67
27.25  3.273  55
27.44  3.250  51
46.82  1.941  100

Cell and atoms:
```
data_NaCaAsS4
_chemical_formula_sum 'Na2 Ca2 As2 S8'
_space_group_name_H-M_alt 'P 1'
_space_group_IT_number 1
_space_group_name_Hall 'P 1'
_cell_length_a 7.7768
_cell_length_b 7.7768
_cell_length_c 7.7768
_cell_angle_alpha 122.41
_cell_angle_beta 116.73
_cell_angle_gamma 90.82
loop_
_atom_site_label
_atom_site_type_symbol
_atom_site_fract_x
_atom_site_fract_y
_atom_site_fract_z
Na1 Na 0.5000 0.0000 0.0000
Na2 Na 0.5000 0.5000 0.5000
Ca1 Ca 0.0000 0.0000 0.0000
Ca2 Ca 0.5000 0.0000 0.5000
As1 As 0.1197 0.3697 0.7500
As2 As 0.8803 0.6303 0.2500
S1 S 0.2130 0.7375 0.4755
S2 S 0.2381 0.2625 0.9755
S3 S 0.2443 0.2555 0.5112
S4 S 0.2443 0.7331 0.9888
S5 S 0.7557 0.2669 0.0112
S6 S 0.7557 0.7445 0.4888
S7 S 0.7619 0.7375 0.0245
S8 S 0.7870 0.2625 0.5245
```

Entry 12:
Starting from a GGA-PBE-relaxed structure, the powder X-ray diffraction pattern of AcAg2SnS4 was calculated for CuKα.

Principal peaks in the range 10° ≤ 2θ ≤ 80°, sorted by position:
2θ (°)  d (Å)  I_rel
26.18  3.404  100
27.85  3.203  85
30.83  2.900  87
30.97  2.887  86
32.11  2.788  78
45.21  2.006  60

Cell and atoms:
```
data_AcAg2SnS4
_chemical_formula_sum 'Ac2 Ag4 Sn2 S8'
_space_group_name_H-M_alt 'P 1'
_space_group_IT_number 1
_space_group_name_Hall 'P 1'
_cell_length_a 8.0456
_cell_length_b 8.0456
_cell_length_c 7.8268
_cell_angle_alpha 118.95
_cell_angle_beta 118.95
_cell_angle_gamma 87.74
loop_
_atom_site_label
_atom_site_type_symbol
_atom_site_fract_x
_atom_site_fract_y
_atom_site_fract_z
Ac1 Ac 0.0000 0.5000 0.0000
Ac2 Ac 0.5000 0.0000 0.5000
Ag1 Ag 0.0000 0.0000 0.0000
Ag2 Ag 0.0000 0.0000 0.5000
Ag3 Ag 0.0000 0.5000 0.5000
Ag4 Ag 0.5000 0.0000 0.0000
Sn1 Sn 0.5000 0.5000 0.0000
Sn2 Sn 0.5000 0.5000 0.5000
S1 S 0.2450 0.7533 0.5072
S2 S 0.2467 0.7550 0.9928
S3 S 0.2567 0.2822 0.5207
S4 S 0.2822 0.2567 0.0207
S5 S 0.7178 0.7433 0.9793
S6 S 0.7433 0.7178 0.4793
S7 S 0.7533 0.2450 0.0072
S8 S 0.7550 0.2467 0.4928
```

What is the formula in the sixth record?
Tb7Pr3Y